# 1
Starting from a DFT-relaxed cell (GGA-PBE, Alexandria), the X-ray powder pattern of Sb3Se2ClO8 was calculated for Cu Kα, 1.54184 Å.
Peak positions follow from Bragg's law for the DFT cell and can differ from measured ones.

Principal peaks in the range 10 to 90 degrees two-theta, by angle:
d_spacing	I (rel.)
8.534	78
5.506	100
5.347	42
3.335	31
3.319	31
3.289	33
2.989	30
2.820	69
2.555	30
2.511	34

Structure:
```
Sb3Se2ClO8
1.0
7.206 0.000 0.000
0.000 10.693 0.000
0.000 0.000 8.534
Sb Se Cl O
6 4 2 16
direct
0.000 0.000 0.000
0.000 0.500 0.000
0.250 0.250 0.216
0.500 0.000 0.000
0.500 0.500 0.000
0.750 0.750 0.784
0.250 0.557 0.356
0.250 0.943 0.356
0.750 0.057 0.644
0.750 0.443 0.644
0.250 0.750 0.891
0.750 0.250 0.109
0.058 0.575 0.234
0.058 0.925 0.234
0.250 0.104 0.393
0.250 0.110 0.030
0.250 0.390 0.030
0.250 0.396 0.393
0.442 0.575 0.234
0.442 0.925 0.234
0.558 0.075 0.766
0.558 0.425 0.766
0.750 0.604 0.607
0.750 0.610 0.970
0.750 0.890 0.970
0.750 0.896 0.607
0.942 0.075 0.766
0.942 0.425 0.766
```

# 2
Starting from a DFT-relaxed cell (GGA-PBE, Alexandria), the X-ray powder pattern of Na2AgIrF6 was calculated for Cu Kα, 1.54184 Å.
Peak positions follow from Bragg's law for the DFT cell and can differ from measured ones.

Principal peaks in the range 10 to 90 degrees two-theta, by angle:
d_spacing	I (rel.)
5.035	16
4.361	100
3.083	95
2.180	39
1.950	44
1.780	38
1.542	24
1.454	20
1.379	17
1.165	20

Structure:
```
Na2AgIrF6
1.0
0.000 4.361 4.361
4.361 0.000 4.361
4.361 4.361 0.000
Na Ag Ir F
2 1 1 6
direct
0.250 0.250 0.250
0.750 0.750 0.750
0.000 0.000 0.000
0.500 0.500 0.500
0.267 0.267 0.733
0.267 0.733 0.267
0.267 0.733 0.733
0.733 0.267 0.267
0.733 0.267 0.733
0.733 0.733 0.267
```

# 3
Starting from a DFT-relaxed cell (GGA-PBE, Alexandria), the X-ray powder pattern of NdTmTe2Se was calculated for Cu Kα, 1.54184 Å.
Peak positions follow from Bragg's law for the DFT cell and can differ from measured ones.

Principal peaks in the range 10 to 90 degrees two-theta, by angle:
d_spacing	I (rel.)
3.118	35
3.077	100
3.019	31
2.648	23
2.534	32
2.415	59
2.176	67
1.985	25
1.784	28
1.538	22

Structure:
```
NdTmTe2Se
1.0
4.351 0.000 0.000
0.000 4.351 0.000
0.000 0.000 15.590
Nd Tm Te Se
2 2 4 2
direct
0.250 0.250 0.132
0.750 0.750 0.868
0.250 0.250 0.590
0.750 0.750 0.410
0.250 0.250 0.394
0.250 0.250 0.786
0.750 0.750 0.214
0.750 0.750 0.606
0.250 0.750 0.000
0.750 0.250 0.000
```

# 4
Starting from a DFT-relaxed cell (GGA-PBE, Alexandria), the X-ray powder pattern of La4NdY2Mg was calculated for Cu Kα, 1.54184 Å.
Peak positions follow from Bragg's law for the DFT cell and can differ from measured ones.

Principal peaks in the range 10 to 90 degrees two-theta, by angle:
d_spacing	I (rel.)
4.475	8
3.357	45
2.995	100
2.235	87
1.731	13
1.539	17
1.535	9
1.496	8
1.464	22
1.366	12

Structure:
```
La4NdY2Mg
1.0
-3.451 6.004 6.714
3.451 -6.004 6.714
3.451 6.004 -6.714
La Nd Y Mg
8 2 4 2
direct
0.257 0.246 0.489
0.257 0.767 0.011
0.258 0.247 0.011
0.264 0.753 0.511
0.736 0.247 0.489
0.742 0.753 0.989
0.743 0.233 0.989
0.743 0.754 0.511
0.000 0.000 0.000
0.500 0.000 0.500
0.000 0.000 0.500
0.000 0.500 0.000
0.000 0.500 0.500
0.500 0.500 0.000
0.500 0.000 0.000
0.500 0.500 0.500
```

# 5
Starting from a DFT-relaxed cell (GGA-PBE, Alexandria), the X-ray powder pattern of Ce2InHg3 was calculated for Cu Kα, 1.54184 Å.
Peak positions follow from Bragg's law for the DFT cell and can differ from measured ones.

Principal peaks in the range 10 to 90 degrees two-theta, by angle:
d_spacing	I (rel.)
3.428	14
2.706	97
2.544	100
2.043	21
1.854	32
1.498	32
1.469	18
1.421	32
1.151	14
1.115	16

Structure:
```
Ce2InHg3
1.0
0.000 5.090 8.811
3.428 0.000 8.811
3.428 5.090 0.000
Ce In Hg
4 2 6
direct
0.234 0.766 0.766
0.250 0.250 0.250
0.750 0.750 0.750
0.766 0.234 0.234
0.334 0.334 0.666
0.666 0.666 0.334
0.168 0.168 0.832
0.170 0.664 0.336
0.336 0.830 0.170
0.664 0.170 0.830
0.830 0.336 0.664
0.832 0.832 0.168
```

# 6
Starting from a DFT-relaxed cell (GGA-PBE, Alexandria), the X-ray powder pattern of MgSc4Zn3 was calculated for Cu Kα, 1.54184 Å.
Peak positions follow from Bragg's law for the DFT cell and can differ from measured ones.

Principal peaks in the range 10 to 90 degrees two-theta, by angle:
d_spacing	I (rel.)
7.863	3
4.104	4
3.930	3
3.403	3
2.621	2
2.407	100
1.772	4
1.702	16
1.389	29
1.203	9

Structure:
```
MgSc4Zn3
1.0
2.406 1.389 7.863
-2.406 1.389 7.863
0.000 -2.778 7.863
Mg Sc Zn
1 4 3
direct
0.000 0.000 0.000
0.130 0.130 0.130
0.381 0.381 0.381
0.619 0.619 0.619
0.870 0.870 0.870
0.256 0.256 0.256
0.500 0.500 0.500
0.744 0.744 0.744
```

# 7
Starting from a DFT-relaxed cell (GGA-PBE, Alexandria), the X-ray powder pattern of La2SmAg2 was calculated for Cu Kα, 1.54184 Å.
Peak positions follow from Bragg's law for the DFT cell and can differ from measured ones.

Principal peaks in the range 10 to 90 degrees two-theta, by angle:
d_spacing	I (rel.)
3.270	44
3.075	20
3.058	19
2.692	100
2.583	57
2.571	73
2.475	26
2.306	21
1.720	22
1.512	17

Structure:
```
La2SmAg2
1.0
6.682 0.000 0.000
0.000 5.167 0.000
-2.961 0.000 8.461
La Sm Ag
4 2 4
direct
0.096 0.250 0.373
0.122 0.250 0.953
0.878 0.750 0.047
0.904 0.750 0.627
0.454 0.750 0.238
0.546 0.250 0.762
0.367 0.750 0.886
0.379 0.750 0.557
0.621 0.250 0.443
0.633 0.250 0.114
```

# 8
Starting from a DFT-relaxed cell (GGA-PBE, Alexandria), the X-ray powder pattern of KDyFeCl6 was calculated for Cu Kα, 1.54184 Å.
Peak positions follow from Bragg's law for the DFT cell and can differ from measured ones.

Principal peaks in the range 10 to 90 degrees two-theta, by angle:
d_spacing	I (rel.)
6.993	79
5.802	41
4.465	100
3.350	19
3.021	62
2.679	22
2.419	80
2.092	29
1.934	28
1.913	23

Structure:
```
KDyFeCl6
1.0
3.349 -5.804 0.000
3.349 5.804 0.000
-0.014 0.000 6.993
K Dy Fe Cl
1 1 1 6
direct
0.000 0.000 0.000
0.666 0.334 0.500
0.333 0.667 0.500
0.017 0.378 0.709
0.017 0.637 0.290
0.363 0.983 0.710
0.365 0.381 0.288
0.619 0.635 0.712
0.622 0.983 0.291
```

# 9
Starting from a DFT-relaxed cell (GGA-PBE, Alexandria), the X-ray powder pattern of Pm2HoPaCo2 was calculated for Cu Kα, 1.54184 Å.
Peak positions follow from Bragg's law for the DFT cell and can differ from measured ones.

Principal peaks in the range 10 to 90 degrees two-theta, by angle:
d_spacing	I (rel.)
6.409	41
3.205	30
3.014	95
2.990	98
2.666	63
2.402	100
2.337	22
2.326	21
1.922	29
1.474	23

Structure:
```
Pm2HoPaCo2
1.0
-3.415 6.409 3.380
3.415 -6.409 3.380
3.415 6.409 -3.380
Pm Ho Pa Co
4 2 2 4
direct
0.199 0.215 0.415
0.301 0.715 0.016
0.699 0.285 0.984
0.801 0.785 0.585
0.250 0.750 0.500
0.750 0.250 0.500
0.250 0.250 0.000
0.750 0.750 0.000
0.086 0.791 0.878
0.414 0.291 0.705
0.586 0.709 0.295
0.914 0.209 0.122
```

# 10
Starting from a DFT-relaxed cell (GGA-PBE, Alexandria), the X-ray powder pattern of NdNpPd14 was calculated for Cu Kα, 1.54184 Å.
Peak positions follow from Bragg's law for the DFT cell and can differ from measured ones.

Principal peaks in the range 10 to 90 degrees two-theta, by angle:
d_spacing	I (rel.)
3.657	2
2.740	2
2.343	100
2.068	35
1.957	14
1.462	11
1.421	20
1.240	25
1.191	11
1.171	11

Structure:
```
NdNpPd14
1.0
5.849 0.000 0.000
0.000 5.849 0.000
0.000 0.000 7.827
Nd Np Pd
1 1 14
direct
0.000 0.000 0.000
0.500 0.500 0.000
0.000 0.000 0.500
0.000 0.500 0.000
0.000 0.500 0.500
0.255 0.255 0.258
0.255 0.255 0.742
0.255 0.745 0.258
0.255 0.745 0.742
0.500 0.000 0.000
0.500 0.000 0.500
0.500 0.500 0.500
0.745 0.255 0.258
0.745 0.255 0.742
0.745 0.745 0.258
0.745 0.745 0.742
```

# 11
Starting from a DFT-relaxed cell (GGA-PBE, Alexandria), the X-ray powder pattern of Ti6HO3 was calculated for Cu Kα, 1.54184 Å.
Peak positions follow from Bragg's law for the DFT cell and can differ from measured ones.

Principal peaks in the range 10 to 90 degrees two-theta, by angle:
d_spacing	I (rel.)
3.822	4
2.606	10
2.396	17
2.289	100
1.764	24
1.504	20
1.362	16
1.274	12
1.257	12
1.145	5

Structure:
```
Ti6HO3
1.0
2.606 1.504 4.792
-2.606 1.504 4.792
0.000 -3.009 4.792
Ti H O
6 1 3
direct
0.001 0.665 0.334
0.176 0.482 0.827
0.334 0.001 0.665
0.482 0.827 0.176
0.665 0.334 0.001
0.827 0.176 0.482
0.753 0.753 0.753
0.074 0.074 0.074
0.253 0.253 0.253
0.581 0.581 0.581
```